Computed X-ray diffraction stick pattern
Compound: Tm4MgGe4
Radiation: Cu Kα, 1.54184 Å
Structure: a structure optimized by DFT (GGA-PBE)
Lines closer than 0.1° are merged.

Cell and atoms:
Unit cell a=7.1451 b=14.3810 c=7.6842 alpha=90.00 beta=90.00 gamma=90.00
Fractional coordinates of all 36 atoms:
Tm (0.0085, 0.0942, 0.1826)
Tm (0.0085, 0.4058, 0.1826)
Tm (0.1686, 0.1265, 0.6768)
Tm (0.1686, 0.3735, 0.6768)
Tm (0.3314, 0.6265, 0.1768)
Tm (0.3314, 0.8735, 0.1768)
Tm (0.4915, 0.5942, 0.6826)
Tm (0.4915, 0.9058, 0.6826)
Tm (0.5085, 0.0942, 0.3174)
Tm (0.5085, 0.4058, 0.3174)
Tm (0.6686, 0.1265, 0.8232)
Tm (0.6686, 0.3735, 0.8232)
Tm (0.8314, 0.6265, 0.3232)
Tm (0.8314, 0.8735, 0.3232)
Tm (0.9915, 0.5942, 0.8174)
Tm (0.9915, 0.9058, 0.8174)
Mg (0.1617, 0.7500, 0.5154)
Mg (0.3383, 0.2500, 0.0154)
Mg (0.6617, 0.7500, 0.9846)
Mg (0.8383, 0.2500, 0.4846)
Ge (0.0253, 0.7500, 0.0918)
Ge (0.1729, 0.5364, 0.4656)
Ge (0.1729, 0.9636, 0.4656)
Ge (0.2104, 0.2500, 0.3608)
Ge (0.2896, 0.7500, 0.8608)
Ge (0.3271, 0.0364, 0.9656)
Ge (0.3271, 0.4636, 0.9656)
Ge (0.4747, 0.2500, 0.5918)
Ge (0.5253, 0.7500, 0.4082)
Ge (0.6729, 0.5364, 0.0344)
Ge (0.6729, 0.9636, 0.0344)
Ge (0.7104, 0.2500, 0.1392)
Ge (0.7896, 0.7500, 0.6392)
Ge (0.8271, 0.0364, 0.5344)
Ge (0.8271, 0.4636, 0.5344)
Ge (0.9747, 0.2500, 0.9082)

Main lines, low angle first (5° ≤ 2θ ≤ 70°):
2theta	I/Imax
24.76	19
28.24	23
32.38	83
33.38	100
34.16	43
36.48	44
37.35	31
37.83	26
39.62	36
52.46	17
58.85	27
59.02	21